# KUSeO8
Simulated powder diffractogram, Cu Kα (λ = 1.5418 Å). Input: a PBE-relaxed structure.
No peak broadening, texture or thermal motion is included.

Cell and atoms:
Cell: 8.4724 8.2607 11.6996 Å, 90.00 109.14 90.00°
Space group P2_1/c (No. 14)
Unique sites:
K: 0.0600 0.0355 0.2952 (multiplicity 4)
U: 0.4300 0.0958 0.7065 (multiplicity 4)
Se: 0.1924 0.7375 0.5368 (multiplicity 4)
O: 0.0571 0.6723 0.6004 (multiplicity 4)
O: 0.1375 0.7130 0.3895 (multiplicity 4)
O: 0.2186 0.5590 0.0659 (multiplicity 4)
O: 0.2529 0.1810 0.7449 (multiplicity 4)
O: 0.3265 0.2219 0.0528 (multiplicity 4)
O: 0.3838 0.6516 0.6030 (multiplicity 4)
O: 0.4079 0.5267 0.8532 (multiplicity 4)
O: 0.4651 0.6443 0.2966 (multiplicity 4)

Main lines, in order of rising 2θ (2θ from 10° to 80°):
h k l	2θ (°)	I/Imax
1 0 0	11.05	73
1 0 -2	16.23	100
2 0 -2	22.76	56
0 2 1	22.99	45
1 2 -1	24.38	53
1 1 2	24.84	45


# KYSe2O6
Simulated powder diffractogram, Cu Kα (λ = 1.5418 Å). Input: a PBE-relaxed structure.
No peak broadening, texture or thermal motion is included.

Cell and atoms:
Cell: 13.6289 5.8176 8.8399 Å, 90.00 90.00 90.00°
Space group Pnma (No. 62)
Unique sites:
K: 0.1252 0.2500 0.0044 (multiplicity 4)
Y: 0.0976 0.7500 0.6913 (multiplicity 4)
Se: 0.0678 0.7500 0.2800 (multiplicity 4)
Se: 0.2048 0.2500 0.4879 (multiplicity 4)
O: 0.0053 0.5195 0.2031 (multiplicity 8)
O: 0.0259 0.7500 0.4629 (multiplicity 4)
O: 0.1760 0.7500 0.9208 (multiplicity 4)
O: 0.2082 0.0181 0.6093 (multiplicity 8)

Main lines, in order of rising 2θ (2θ from 10° to 80°):
h k l	2θ (°)	I/Imax
2 1 0	20.07	21
2 0 2	24.00	58
3 1 1	26.86	63
2 1 2	28.55	100
4 1 0	30.40	50
0 2 0	30.74	38


# K2Zn3Se4O12
Simulated powder diffractogram, Cu Kα (λ = 1.5418 Å). Input: a PBE-relaxed structure.
No peak broadening, texture or thermal motion is included.

Cell and atoms:
Cell: 11.6152 8.8345 14.0126 Å, 90.00 93.35 90.00°
Space group C2/c (No. 15)
Unique sites:
K: 0.2098 0.0075 0.4831 (multiplicity 8)
Zn: 0.0000 0.0006 0.2500 (multiplicity 4)
Zn: 0.0254 0.3485 0.3981 (multiplicity 8)
Se: 0.0208 0.3024 0.6290 (multiplicity 8)
Se: 0.1975 0.2191 0.2221 (multiplicity 8)
O: 0.0655 0.1464 0.8544 (multiplicity 8)
O: 0.0814 0.4365 0.9081 (multiplicity 8)
O: 0.0846 0.2631 0.5228 (multiplicity 8)
O: 0.1175 0.2058 0.3240 (multiplicity 8)
O: 0.1355 0.3663 0.1543 (multiplicity 8)
O: 0.1371 0.0604 0.1679 (multiplicity 8)

Main lines, in order of rising 2θ (2θ from 10° to 80°):
h k l	2θ (°)	I/Imax
2 0 0	15.28	79
3 1 1	26.29	100
2 2 -2	28.03	100
1 1 4	28.88	99
2 0 -4	29.04	89
1 3 0	31.34	57


# K6Si2O7
Simulated powder diffractogram, Cu Kα (λ = 1.5418 Å). Input: a PBE-relaxed structure.
No peak broadening, texture or thermal motion is included.

Cell and atoms:
Cell: 6.5333 8.9862 11.0337 Å, 90.00 124.79 90.00°
Space group P2_1/c (No. 14)
Unique sites:
K: 0.0296 0.1489 0.4147 (multiplicity 4)
K: 0.2084 0.5267 0.4562 (multiplicity 4)
K: 0.3950 0.2184 0.2764 (multiplicity 4)
Si: 0.3258 0.6355 0.8743 (multiplicity 4)
O: 0.0738 0.6577 0.8729 (multiplicity 4)
O: 0.2595 0.5813 0.7133 (multiplicity 4)
O: 0.4955 0.2153 0.0654 (multiplicity 4)
O: 0.5000 0.0000 0.5000 (multiplicity 2)

Main lines, in order of rising 2θ (2θ from 10° to 80°):
h k l	2θ (°)	I/Imax
2 1 -1	30.52	57
0 3 1	31.45	100
1 0 2	32.33	44
2 0 -4	34.28	59
1 1 -4	34.52	73
1 3 1	38.39	57


# KSiO3
Simulated powder diffractogram, Cu Kα (λ = 1.5418 Å). Input: a PBE-relaxed structure.
No peak broadening, texture or thermal motion is included.

Cell and atoms:
Cell: 11.7984 10.0885 11.2616 Å, 90.00 90.00 90.00°
Space group Cmce (No. 64)
Unique sites:
K: 0.0000 0.1784 0.0315 (multiplicity 8)
K: 0.2500 0.2360 0.7500 (multiplicity 8)
Si: 0.0000 0.0088 0.3160 (multiplicity 8)
Si: 0.1959 0.0000 0.5000 (multiplicity 8)
O: 0.0000 0.0446 0.8196 (multiplicity 8)
O: 0.0000 0.1668 0.2904 (multiplicity 8)
O: 0.1107 0.0478 0.6093 (multiplicity 16)
O: 0.2197 0.1200 0.0344 (multiplicity 16)

Main lines, in order of rising 2θ (2θ from 10° to 80°):
h k l	2θ (°)	I/Imax
3 1 1	25.56	13
1 1 3	26.44	15
2 2 2	28.16	100
1 3 1	28.72	37
4 0 0	30.30	36
4 0 4	44.49	16


# KSi2O4
Simulated powder diffractogram, Cu Kα (λ = 1.5418 Å). Input: a PBE-relaxed structure.
No peak broadening, texture or thermal motion is included.

Cell and atoms:
Cell: 5.5159 5.5159 8.5352 Å, 90.00 90.00 120.00°
Space group P6_3/mmc (No. 194)
Unique sites:
K: 0.0000 0.0000 0.2500 (multiplicity 2)
Si: 0.3333 0.6667 0.0547 (multiplicity 4)
O: 0.0000 0.5000 0.0000 (multiplicity 6)
O: 0.3333 0.6667 0.2500 (multiplicity 2)

Main lines, in order of rising 2θ (2θ from 10° to 80°):
h k l	2θ (°)	I/Imax
1 0 1	21.32	42
1 0 2	28.04	100
1 1 0	32.46	62
2 1 2	55.24	24
3 0 0	57.93	21
1 1 6	75.11	17


# KSiO3
Simulated powder diffractogram, Cu Kα (λ = 1.5418 Å). Input: a PBE-relaxed structure.
No peak broadening, texture or thermal motion is included.

Cell and atoms:
Cell: 7.8387 11.0080 10.3687 Å, 90.00 131.37 90.00°
Space group P2_1/c (No. 14)
Unique sites:
K: 0.0010 0.0238 0.1791 (multiplicity 4)
K: 0.4983 0.7489 0.4852 (multiplicity 4)
Si: 0.0012 0.1867 0.5082 (multiplicity 4)
Si: 0.3937 0.0001 0.6964 (multiplicity 4)
O: 0.0012 0.7086 0.8385 (multiplicity 4)
O: 0.0057 0.6738 0.5441 (multiplicity 4)
O: 0.2187 0.6091 0.1583 (multiplicity 4)
O: 0.2274 0.1136 0.5651 (multiplicity 4)
O: 0.4377 0.5364 0.6025 (multiplicity 4)
O: 0.4403 0.0388 0.3377 (multiplicity 4)

Main lines, in order of rising 2θ (2θ from 10° to 80°):
h k l	2θ (°)	I/Imax
1 3 -1	26.86	11
0 2 2	28.09	100
2 0 0	30.39	25
2 0 -4	34.58	16
2 4 0	45.12	11
4 2 -4	49.72	10


# KSi4O9
Simulated powder diffractogram, Cu Kα (λ = 1.5418 Å). Input: a PBE-relaxed structure.
No peak broadening, texture or thermal motion is included.

Cell and atoms:
Cell: 5.2479 5.2479 7.7266 Å, 90.00 90.00 120.00°
Space group P6/mmm (No. 191)
Unique sites:
K: 0.0000 0.0000 0.0000 (multiplicity 1)
Si: 0.3333 0.6667 0.2934 (multiplicity 4)
O: 0.0000 0.0000 0.5000 (multiplicity 1)
O: 0.0000 0.5000 0.2112 (multiplicity 6)
O: 0.3333 0.6667 0.5000 (multiplicity 2)

Main lines, in order of rising 2θ (2θ from 10° to 80°):
h k l	2θ (°)	I/Imax
1 0 0	19.53	31
1 0 1	22.70	35
0 0 2	23.02	24
1 0 2	30.37	100
1 1 0	34.17	73
2 1 2	58.83	24


# KSiO3
Simulated powder diffractogram, Cu Kα (λ = 1.5418 Å). Input: a PBE-relaxed structure.
No peak broadening, texture or thermal motion is included.

Cell and atoms:
Cell: 3.6831 3.6831 3.6831 Å, 90.00 90.00 90.00°
Space group Pm-3m (No. 221)
Unique sites:
K: 0.0000 0.0000 0.0000 (multiplicity 1)
Si: 0.5000 0.5000 0.5000 (multiplicity 1)
O: 0.0000 0.5000 0.5000 (multiplicity 3)

Main lines, in order of rising 2θ (2θ from 10° to 80°):
h k l	2θ (°)	I/Imax
1 0 0	24.16	2
1 1 0	34.44	100
1 1 1	42.51	45
2 0 0	49.50	78
2 1 1	61.69	35
2 2 0	72.60	41